[1]
Diffraction record for LaAlRe2. The X-ray diffraction stick pattern is calculated, not measured: it uses DFT lattice parameters and positions (PBE) and CuKα.

Top 12 peaks for 2θ from 10° to 80°, by angle:
2θ/deg, intensity
11.3, 74
22.7, 15
30.9, 11
36.9, 100
41.0, 45
42.7, 12
45.3, 17
47.4, 9
55.4, 16
59.4, 15
63.6, 11
72.0, 29

```
LaAlRe2
1.0
3.112 0.000 0.000
0.000 3.112 0.000
0.000 0.000 7.841
La Al Re
1 1 2
Cartesian
0.000 0.000 0.000
1.556 1.556 5.370
0.000 0.000 3.762
1.556 1.556 2.360
```

***

[2]
Diffraction record for LaAl4Re. The X-ray diffraction stick pattern is calculated, not measured: it uses DFT lattice parameters and positions (PBE) and CuKα.

Top 12 peaks for 2θ from 10° to 80°, by angle:
2θ/deg, intensity
16.8, 35
20.9, 89
22.6, 86
27.5, 61
31.0, 87
34.8, 100
40.2, 56
42.5, 37
42.8, 28
46.1, 27
48.1, 27
51.1, 26

```
LaAl4Re
1.0
7.875 0.000 0.000
0.000 4.250 0.000
0.000 0.000 7.130
La Al Re
2 8 2
Cartesian
1.969 0.000 0.946
5.906 0.000 6.183
0.000 0.000 3.565
0.551 2.125 5.746
1.969 2.125 3.352
3.386 2.125 5.746
3.938 0.000 3.565
4.489 2.125 1.384
5.906 2.125 3.778
7.324 2.125 1.384
1.969 0.000 5.005
5.906 0.000 2.124
```

***

[3]
Diffraction record for La2AlRh3. The X-ray diffraction stick pattern is calculated, not measured: it uses DFT lattice parameters and positions (PBE) and CuKα.

Top 12 peaks for 2θ from 10° to 80°, by angle:
2θ/deg, intensity
23.1, 18
30.7, 27
35.1, 59
36.4, 100
38.3, 98
38.8, 37
42.0, 21
57.4, 28
59.7, 27
63.9, 32
66.4, 22
74.1, 19

```
La2AlRh3
1.0
2.914 1.683 3.961
-2.914 1.683 3.961
0.000 -3.365 3.961
La Al Rh
2 1 3
Cartesian
0.000 0.000 1.594
0.000 0.000 10.288
0.000 0.000 5.941
-1.457 -0.841 3.961
-1.457 0.841 7.921
0.000 1.683 3.961
```

***

[4]
Diffraction record for La3Al4Rh4. The X-ray diffraction stick pattern is calculated, not measured: it uses DFT lattice parameters and positions (PBE) and CuKα.

Top 12 peaks for 2θ from 10° to 80°, by angle:
2θ/deg, intensity
28.2, 53
32.7, 100
36.6, 42
43.7, 12
49.9, 30
52.8, 21
55.6, 17
58.3, 20
66.0, 8
68.4, 8
70.9, 12
73.2, 18

```
La3Al4Rh4
1.0
-3.877 3.877 3.877
3.877 -3.877 3.877
3.877 3.877 -3.877
La Al Rh
3 4 4
Cartesian
3.877 0.000 0.000
0.000 3.877 0.000
0.000 0.000 3.877
2.881 2.881 -2.881
2.881 -2.881 2.881
0.996 0.996 0.996
-2.881 2.881 2.881
1.467 1.467 -1.467
1.467 -1.467 1.467
-1.467 1.467 1.467
2.410 2.410 2.410
```

***

[5]
Diffraction record for LaAl3Rh2. The X-ray diffraction stick pattern is calculated, not measured: it uses DFT lattice parameters and positions (PBE) and CuKα.

Top 12 peaks for 2θ from 10° to 80°, by angle:
2θ/deg, intensity
21.3, 55
28.8, 53
29.0, 84
32.9, 74
33.1, 64
35.2, 55
36.6, 100
39.3, 69
43.4, 52
49.6, 46
55.1, 50
57.5, 56

```
LaAl3Rh2
1.0
5.021 -3.951 0.000
5.021 3.951 0.000
0.000 0.000 5.632
La Al Rh
2 6 4
Cartesian
5.021 2.780 4.224
5.021 -2.780 1.408
3.129 2.207 1.408
6.914 2.207 1.408
5.021 0.388 1.408
5.021 -0.388 4.224
3.129 -2.207 4.224
6.914 -2.207 4.224
2.956 0.000 0.000
2.956 0.000 2.816
7.086 0.000 0.000
7.086 0.000 2.816
```

***

[6]
Diffraction record for La2Al6RuRh. The X-ray diffraction stick pattern is calculated, not measured: it uses DFT lattice parameters and positions (PBE) and CuKα.

Top 12 peaks for 2θ from 10° to 80°, by angle:
2θ/deg, intensity
26.6, 100
32.8, 11
38.0, 44
47.0, 28
47.1, 14
54.9, 25
55.0, 5
62.0, 15
68.6, 5
68.8, 5
75.0, 10
75.2, 10

```
La2Al6RuRh
1.0
-3.341 3.352 4.732
3.341 -3.352 4.732
3.341 3.352 -4.732
La Al Ru Rh
2 6 1 1
Cartesian
0.000 0.000 2.365
0.000 0.000 7.099
1.667 1.679 0.000
3.341 0.000 2.371
1.674 -1.673 4.732
1.667 5.024 0.000
0.000 3.352 2.362
1.674 1.673 4.732
0.000 3.352 0.000
3.341 0.000 0.000
```

***

[7]
Diffraction record for La2Al2TlRh5. The X-ray diffraction stick pattern is calculated, not measured: it uses DFT lattice parameters and positions (PBE) and CuKα.

Top 12 peaks for 2θ from 10° to 80°, by angle:
2θ/deg, intensity
31.6, 41
35.2, 41
36.6, 48
37.4, 100
39.8, 30
40.6, 25
50.3, 20
58.9, 13
60.4, 14
63.7, 19
65.9, 13
70.7, 17

```
La2Al2TlRh5
1.0
10.135 0.000 0.000
0.000 10.135 0.000
0.000 0.000 3.631
La Al Tl Rh
4 4 2 10
Cartesian
1.817 3.250 0.000
3.250 8.318 0.000
6.885 1.817 0.000
8.318 6.885 0.000
1.194 6.262 0.000
3.873 1.194 0.000
6.262 8.941 0.000
8.941 3.873 0.000
0.000 0.000 0.000
5.068 5.068 0.000
0.000 5.068 1.816
0.699 7.938 1.816
2.197 0.699 1.816
2.870 5.766 1.816
4.369 2.870 1.816
5.068 0.000 1.816
5.766 7.265 1.816
7.265 4.369 1.816
7.938 9.436 1.816
9.436 2.197 1.816
```

***

[8]
Diffraction record for La5Al2Ru3. The X-ray diffraction stick pattern is calculated, not measured: it uses DFT lattice parameters and positions (PBE) and CuKα.

Top 12 peaks for 2θ from 10° to 80°, by angle:
2θ/deg, intensity
25.3, 14
28.3, 45
31.1, 24
33.6, 100
38.3, 14
40.5, 26
46.5, 18
50.1, 31
53.6, 10
57.0, 18
69.3, 9
75.0, 11

```
La5Al2Ru3
1.0
-4.984 4.984 4.984
4.984 -4.984 4.984
4.984 4.984 -4.984
La Al Ru
10 4 6
Cartesian
3.933 1.051 -1.051
7.476 0.593 0.000
1.051 1.051 1.051
4.390 0.000 2.492
1.051 -1.051 3.933
2.492 4.390 0.000
-1.051 3.933 1.051
0.000 2.492 4.390
0.593 0.000 7.476
0.000 7.476 0.593
7.045 -2.061 2.061
2.061 7.045 -2.061
2.923 2.923 2.923
-2.061 2.061 7.045
4.984 -2.492 3.664
3.664 4.984 -2.492
4.984 2.492 1.320
2.492 1.320 4.984
1.320 4.984 2.492
-2.492 3.664 4.984
```